Diffraction record for Ac2FeAuO6. The X-ray diffraction stick pattern is calculated, not measured: it uses the PBE+U geometry in Alexandria and Cu Kα X-rays.
Peak positions follow from Bragg's law for the DFT cell and can differ from measured ones.

Peak list (10 most intense, 2θ from 15° to 90°, low angle first)
hkl, 2θ/deg, Rel. int.
1 1 1, 30.1, 100
2 0 0, 31.1, 48
2 0 1, 37.5, 10
0 0 2, 41.5, 12
2 2 0, 44.5, 27
2 0 2, 52.8, 21
3 1 1, 54.7, 39
2 2 2, 62.5, 14
3 3 1, 73.1, 11
5 1 1, 89.8, 11

Atomic structure:
Cell: 5.756 5.756 4.348 Å, 90.00 90.00 90.00°
Sites, in units of the cell vectors:
Ac (0.000, 0.500, 0.000)
Ac (0.500, 0.000, 0.000)
Fe (0.000, 0.000, 0.541)
Au (0.500, 0.500, 0.571)
O (0.000, 0.000, 0.096)
O (0.238, 0.238, 0.622)
O (0.238, 0.762, 0.622)
O (0.500, 0.500, 0.075)
O (0.762, 0.238, 0.622)
O (0.762, 0.762, 0.622)